Calculated powder diffractogram of LaErTm2Hg4 for CuKα, from a cell relaxed with PBE.
Neutral-atom scattering factors, no anomalous dispersion.

Atomic structure:
```
LaErTm2Hg4
1.0
2.632 1.520 8.763
-2.632 1.520 8.763
0.000 -3.039 8.763
La Er Tm Hg
1 1 2 4
Direct
0.000 0.000 0.000
0.500 0.500 0.500
0.248 0.248 0.248
0.752 0.752 0.752
0.128 0.128 0.128
0.381 0.381 0.381
0.619 0.619 0.619
0.872 0.872 0.872
```

The 12 most intense peaks (10 to 90 degrees two-theta), low angle first:
two_theta	Rel. int.
10.1	2
23.8	3
33.6	100
34.1	100
48.6	36
59.8	18
60.7	37
61.0	19
70.7	11
71.7	12
80.8	15
81.6	16